# 1
For Re2Cl7O3, a structure optimized by DFT (GGA-PBE) gives the theoretical powder XRD pattern in this record (copper Kα).
Neutral-atom scattering factors, no anomalous dispersion.

Largest 12 diffraction maxima, low angle first, 2θ from 10° to 90°:
d [Å]	I_rel	(hkl)
6.607	49	0 1 2
6.043	100	1 0 0
5.307	31	1 1 0
5.259	29	0 2 1
4.915	77	0 1 3
4.404	75	1 1 -3
4.159	73	1 2 -1
4.024	28	1 1 2
3.900	24	0 2 3
3.610	25	0 3 1
2.734	27	2 2 -2
2.654	29	1 2 4

Structural model:
Cell: 6.304 11.100 17.158 Å, 90.00 106.56 90.00°
Space group P2_1/c (No. 14)
One atom of each set of equivalent atoms:
Re (0.021, 0.085, 0.191)
Re (0.167, 0.161, 0.532)
Cl (0.105, 0.723, 0.079)
Cl (0.170, 0.525, 0.946)
Cl (0.203, 0.524, 0.434)
Cl (0.243, 0.725, 0.306)
Cl (0.274, 0.205, 0.281)
Cl (0.316, 0.503, 0.658)
Cl (0.368, 0.040, 0.634)
O (0.033, 0.022, 0.748)
O (0.101, 0.236, 0.098)
O (0.384, 0.223, 0.505)

***

# 2
For Re2SCl4O8, a structure optimized by DFT (GGA-PBE) gives the theoretical powder XRD pattern in this record (copper Kα).
Neutral-atom scattering factors, no anomalous dispersion.

Largest 12 diffraction maxima, low angle first, 2θ from 10° to 90°:
d [Å]	I_rel	(hkl)
7.675	31	1 1 -1
5.027	77	2 2 -1
4.817	66	0 0 2
4.608	54	3 1 -1
4.586	100	2 2 1
4.546	23	1 3 -1
4.369	22	1 3 1
3.989	21	0 4 0
3.831	22	4 0 0
3.003	36	5 1 0
2.872	21	3 1 -3
2.656	21	2 2 3

Structural model:
Cell: 15.483 15.954 9.742 Å, 90.00 98.51 90.00°
Space group C2/c (No. 15)
One atom of each set of equivalent atoms:
Re (0.095, 0.165, 0.036)
Re (0.180, 0.409, 0.465)
S (0.122, 0.197, 0.398)
Cl (0.063, 0.302, 0.982)
Cl (0.092, 0.039, 0.145)
Cl (0.135, 0.406, 0.678)
Cl (0.248, 0.367, 0.283)
O (0.049, 0.157, 0.457)
O (0.075, 0.127, 0.870)
O (0.080, 0.426, 0.369)
O (0.094, 0.218, 0.249)
O (0.149, 0.274, 0.478)
O (0.197, 0.137, 0.410)
O (0.206, 0.177, 0.060)
O (0.223, 0.492, 0.979)

***

# 3
For ReS2ClO9, a structure optimized by DFT (GGA-PBE) gives the theoretical powder XRD pattern in this record (copper Kα).
Neutral-atom scattering factors, no anomalous dispersion.

Largest 12 diffraction maxima, low angle first, 2θ from 10° to 90°:
d [Å]	I_rel	(hkl)
7.314	34	0 1 0
6.236	66	1 1 0
5.710	100	1 0 1
5.653	20	0 1 -1
5.237	19	0 1 1
4.681	58	1 0 -1
4.168	34	1 -1 0
4.058	38	0 0 2
3.994	20	1 -1 1
3.664	79	0 1 -2
3.563	31	1 2 1
2.333	26	3 2 1

Structural model:
Cell: 7.277 7.923 8.283 Å, 89.99 79.33 67.80°
Space group P-1 (No. 2)
One atom of each set of equivalent atoms:
Re (0.232, 0.303, 0.198)
S (0.090, 0.265, 0.624)
S (0.341, 0.651, 0.280)
Cl (0.000, 0.184, 0.185)
O (0.031, 0.463, 0.671)
O (0.121, 0.750, 0.410)
O (0.165, 0.144, 0.744)
O (0.215, 0.215, 0.457)
O (0.222, 0.408, 0.018)
O (0.315, 0.709, 0.119)
O (0.371, 0.445, 0.289)
O (0.448, 0.110, 0.149)
O (0.480, 0.683, 0.363)

***

# 4
For Sr4Ru6ClO18, a structure optimized by DFT (GGA-PBE) gives the theoretical powder XRD pattern in this record (copper Kα).
Neutral-atom scattering factors, no anomalous dispersion.

Largest 12 diffraction maxima, low angle first, 2θ from 10° to 90°:
d [Å]	I_rel	(hkl)
6.614	64	1 1 0
3.819	60	2 1 1
2.958	100	3 1 0
2.500	86	3 2 1
2.205	46	4 1 1
1.909	17	4 2 2
1.835	43	4 1 3
1.604	31	5 0 3
1.559	40	6 0 0
1.517	36	5 3 2
1.379	17	6 3 1
1.323	17	5 3 4

Structural model:
Cell: 9.354 9.354 9.354 Å, 90.00 90.00 90.00°
Space group I23 (No. 197)
One atom of each set of equivalent atoms:
Sr (0.187, 0.187, 0.813)
Ru (0.000, 0.337, 0.500)
Cl (0.000, 0.000, 0.000)
O (0.000, 0.000, 0.373)
O (0.021, 0.332, 0.288)

***

# 5
For SCl2O, a structure optimized by DFT (GGA-PBE) gives the theoretical powder XRD pattern in this record (copper Kα).
Neutral-atom scattering factors, no anomalous dispersion.

Largest 12 diffraction maxima, low angle first, 2θ from 10° to 90°:
d [Å]	I_rel	(hkl)
4.665	80	2 0 0
4.544	80	1 1 -1
4.198	100	1 1 1
4.087	70	0 0 2
3.983	29	1 0 -2
3.543	39	1 0 2
3.349	31	1 1 -2
3.074	85	1 1 2
2.944	63	2 1 -2
2.779	70	3 1 0
2.330	32	1 2 2
1.847	30	3 2 2

Structural model:
Cell: 9.450 6.185 8.279 Å, 90.00 99.12 90.00°
Space group P2_1/c (No. 14)
One atom of each set of equivalent atoms:
S (0.170, 0.063, 0.264)
Cl (0.249, 0.708, 0.905)
Cl (0.368, 0.201, 0.239)
O (0.100, 0.204, 0.367)

***

# 6
For TaSCl7O, a structure optimized by DFT (GGA-PBE) gives the theoretical powder XRD pattern in this record (copper Kα).
Neutral-atom scattering factors, no anomalous dispersion.

Largest 12 diffraction maxima, low angle first, 2θ from 10° to 90°:
d [Å]	I_rel	(hkl)
7.012	28	1 0 1
6.375	48	2 1 0
5.667	100	1 1 1
4.812	26	0 2 0
4.566	14	3 0 1
4.255	27	4 0 0
4.126	19	3 1 1
3.002	21	2 3 0
2.962	19	5 1 1
2.854	25	4 0 2
2.274	16	1 4 1
1.861	15	6 3 2

Structural model:
Cell: 17.020 9.624 7.695 Å, 90.00 90.00 90.00°
Space group Pnma (No. 62)
One atom of each set of equivalent atoms:
Ta (0.135, 0.250, 0.000)
S (0.161, 0.750, 0.334)
Cl (0.020, 0.250, 0.147)
Cl (0.082, 0.250, 0.717)
Cl (0.122, 0.586, 0.483)
Cl (0.149, 0.008, 0.979)
Cl (0.217, 0.250, 0.242)
O (0.248, 0.750, 0.342)